No. 1
For Na2In2SnHg7, the GGA-PBE geometry in Alexandria gives the calculated powder X-ray diffraction pattern in this record (Cu Ka).
Kinematic intensities with the Lorentz-polarization factor, no thermal factor.

Principal peaks in the range 2θ from 10° to 80°, in order of falling intensity:
two_theta  d (Å)  I (rel.)
34.49  2.600  100
34.22  2.620  29
31.64  2.828  28
47.29  1.922  19
61.45  1.509  19
58.20  1.585  14
36.35  2.472  10
72.74  1.300  9

Structure:
Unit cell a=11.272 b=11.272 c=11.272 alpha=153.12 beta=40.00 gamma=150.94
Atoms (fractional coordinates):
1 Na 0.248 0.000 0.248
2 Na 0.752 0.000 0.752
3 In 0.195 0.544 0.651
4 In 0.894 0.544 0.349
5 Sn 0.491 0.491 0.000
6 Hg 0.051 0.968 0.083
7 Hg 0.059 0.559 0.500
8 Hg 0.308 0.481 0.828
9 Hg 0.458 0.044 0.414
10 Hg 0.630 0.044 0.586
11 Hg 0.653 0.481 0.172
12 Hg 0.886 0.968 0.917

---

No. 2
For Na2Ti3CuO8, the GGA-PBE geometry in Alexandria gives the calculated powder X-ray diffraction pattern in this record (Cu Ka).
Kinematic intensities with the Lorentz-polarization factor, no thermal factor.

Principal peaks in the range 2θ from 10° to 80°, in order of falling intensity:
two_theta  d (Å)  I (rel.)
15.61  5.677  100
40.63  2.221  46
34.87  2.573  42
31.39  2.850  39
27.06  3.296  30
33.75  2.656  29
61.73  1.503  29
53.81  1.704  19

Structure:
Unit cell a=6.654 b=6.654 c=6.654 alpha=53.70 beta=53.70 gamma=53.70
Atoms (fractional coordinates):
1 Na 0.000 0.000 0.000
2 Na 0.365 0.365 0.365
3 Ti 0.492 0.999 0.999
4 Ti 0.999 0.492 0.999
5 Ti 0.999 0.999 0.492
6 Cu 0.577 0.577 0.577
7 O 0.206 0.745 0.745
8 O 0.229 0.229 0.229
9 O 0.258 0.258 0.804
10 O 0.258 0.804 0.258
11 O 0.745 0.206 0.745
12 O 0.745 0.745 0.206
13 O 0.774 0.774 0.774
14 O 0.804 0.258 0.258

---

No. 3
For TcAgO4, the GGA-PBE geometry in Alexandria gives the calculated powder X-ray diffraction pattern in this record (Cu Ka).
Kinematic intensities with the Lorentz-polarization factor, no thermal factor.

Principal peaks in the range 2θ from 10° to 80°, in order of falling intensity:
two_theta  d (Å)  I (rel.)
27.73  3.217  100
45.39  1.998  29
55.80  1.648  25
33.02  2.713  21
52.21  1.752  15
30.26  2.954  14
73.16  1.294  12
57.27  1.609  12

Structure:
Unit cell a=7.044 b=7.044 c=7.044 alpha=134.70 beta=134.70 gamma=66.00
Atoms (fractional coordinates):
1 Tc 0.375 0.125 0.250
2 Tc 0.625 0.875 0.750
3 Ag 0.125 0.375 0.750
4 Ag 0.875 0.625 0.250
5 O 0.161 0.274 0.352
6 O 0.226 0.078 0.886
7 O 0.309 0.661 0.386
8 O 0.422 0.809 0.148
9 O 0.578 0.191 0.852
10 O 0.691 0.339 0.614
11 O 0.774 0.922 0.114
12 O 0.839 0.726 0.648

---

No. 4
For SbBr3Cl, the GGA-PBE geometry in Alexandria gives the calculated powder X-ray diffraction pattern in this record (Cu Ka).
Kinematic intensities with the Lorentz-polarization factor, no thermal factor.

Principal peaks in the range 2θ from 10° to 80°, in order of falling intensity:
two_theta  d (Å)  I (rel.)
11.42  7.746  100
18.12  4.896  68
41.98  2.152  39
30.96  2.888  38
27.63  3.228  31
19.12  4.642  30
35.87  2.503  22
36.71  2.448  21

Structure:
Unit cell a=6.587 b=7.781 c=8.100 alpha=90.00 beta=106.99 gamma=90.00
Atoms (fractional coordinates):
1 Sb 0.000 0.000 0.000
2 Sb 0.482 0.500 0.999
3 Br 0.194 0.263 0.839
4 Br 0.194 0.737 0.839
5 Br 0.369 0.500 0.276
6 Br 0.771 0.260 0.145
7 Br 0.771 0.740 0.145
8 Br 0.806 0.000 0.646
9 Cl 0.296 0.000 0.263
10 Cl 0.600 0.500 0.745

---

No. 5
For Zr3As4O20, the GGA-PBE geometry in Alexandria gives the calculated powder X-ray diffraction pattern in this record (Cu Ka).
Kinematic intensities with the Lorentz-polarization factor, no thermal factor.

Principal peaks in the range 2θ from 10° to 80°, in order of falling intensity:
two_theta  d (Å)  I (rel.)
24.48  3.636  100
26.52  3.361  87
19.44  4.566  85
24.61  3.617  73
28.19  3.166  60
21.15  4.200  49
10.53  8.400  43
16.90  5.245  43

Structure:
Unit cell a=5.657 b=9.020 c=9.607 alpha=111.32 beta=90.54 gamma=91.03
Atoms (fractional coordinates):
1 Zr 0.000 0.000 0.000
2 Zr 0.275 0.727 0.425
3 Zr 0.725 0.273 0.575
4 As 0.208 0.312 0.344
5 As 0.237 0.134 0.707
6 As 0.763 0.866 0.293
7 As 0.792 0.688 0.656
8 O 0.021 0.262 0.704
9 O 0.069 0.674 0.586
10 O 0.180 0.082 0.860
11 O 0.193 0.158 0.171
12 O 0.234 0.967 0.551
13 O 0.266 0.650 0.940
14 O 0.285 0.793 0.964
15 O 0.288 0.478 0.309
16 O 0.415 0.269 0.452
17 O 0.491 0.774 0.265
18 O 0.509 0.226 0.735
19 O 0.585 0.731 0.548
20 O 0.712 0.522 0.691
21 O 0.715 0.207 0.036
22 O 0.734 0.350 0.060
23 O 0.766 0.033 0.449
24 O 0.807 0.842 0.829
25 O 0.820 0.918 0.140
26 O 0.931 0.326 0.414
27 O 0.979 0.738 0.296

---

No. 6
For AcCS3, the GGA-PBE geometry in Alexandria gives the calculated powder X-ray diffraction pattern in this record (Cu Ka).
Kinematic intensities with the Lorentz-polarization factor, no thermal factor.

Principal peaks in the range 2θ from 10° to 80°, in order of falling intensity:
two_theta  d (Å)  I (rel.)
24.63  3.615  100
20.61  4.309  82
18.24  4.864  70
19.11  4.645  64
26.53  3.359  51
32.53  2.753  48
36.98  2.431  44
34.33  2.612  43

Structure:
Unit cell a=7.849 b=6.197 c=9.290 alpha=90.00 beta=90.00 gamma=90.00
Atoms (fractional coordinates):
1 Ac 0.109 0.062 0.000
2 Ac 0.391 0.562 0.500
3 Ac 0.609 0.438 0.000
4 Ac 0.891 0.938 0.500
5 C 0.145 0.585 0.171
6 C 0.355 0.085 0.671
7 C 0.645 0.915 0.171
8 C 0.855 0.415 0.671
9 S 0.014 0.574 0.019
10 S 0.174 0.814 0.279
11 S 0.218 0.866 0.706
12 S 0.282 0.366 0.206
13 S 0.326 0.314 0.779
14 S 0.486 0.074 0.519
15 S 0.514 0.926 0.019
16 S 0.674 0.686 0.279
17 S 0.718 0.634 0.706
18 S 0.782 0.134 0.206
19 S 0.826 0.186 0.779
20 S 0.986 0.426 0.519